No. 1
# MgAl2SiHO7
Computed XRD peak list, Cu Ka. Input: a PBE-relaxed structure.
Kinematic intensities with the Lorentz-polarization factor, no thermal factor.

Lattice parameters (Å, degrees): 9.576 5.541 17.992 90.00 101.40 90.00
Space group C2/c (No. 15)
Inequivalent atoms, fractional coordinates:
Mg: 0.080 0.247 0.000
Al: 0.000 0.098 0.750
Al: 0.250 0.153 0.250
Al: 0.250 0.250 0.500
Si: 0.036 0.403 0.344
H: 0.135 0.100 0.611
O: 0.071 0.400 0.438
O: 0.105 0.159 0.312
O: 0.105 0.353 0.813
O: 0.116 0.103 0.553
O: 0.139 0.403 0.187
O: 0.149 0.097 0.701
O: 0.235 0.059 0.954

Most intense lines, 15° ≤ 2θ ≤ 90°, low angle first:
d = 4.409 Å, 2θ 20.14, rel. 100, (0 0 4); d = 3.088 Å, 2θ 28.92, rel. 19, (1 1 4); d = 2.938 Å, 2θ 30.42, rel. 27, (2 0 4); d = 2.506 Å, 2θ 35.83, rel. 21, (0 2 3); d = 2.485 Å, 2θ 36.14, rel. 19, (3 1 2); d = 2.333 Å, 2θ 38.58, rel. 24, (2 2 1); d = 2.324 Å, 2θ 38.74, rel. 19, (3 1 3); d = 2.138 Å, 2θ 42.28, rel. 22, (2 2 3)

---

No. 2
# Na5Al3H14
Computed XRD peak list, Cu Ka. Input: a PBE-relaxed structure.
Kinematic intensities with the Lorentz-polarization factor, no thermal factor.

Lattice parameters (Å, degrees): 6.761 6.761 10.312 90.00 90.00 90.00
Space group P4/mnc (No. 128)
Inequivalent atoms, fractional coordinates:
Na: 0.000 0.000 0.000
Na: 0.215 0.285 0.250
Al: 0.000 0.000 0.500
Al: 0.000 0.500 0.000
H: 0.000 0.000 0.330
H: 0.042 0.679 0.118
H: 0.073 0.248 0.500

Most intense lines, 15° ≤ 2θ ≤ 90°, low angle first:
d = 2.827 Å, 2θ 31.65, rel. 100, (2 0 2); d = 2.578 Å, 2θ 34.80, rel. 20, (0 0 4); d = 2.390 Å, 2θ 37.63, rel. 27, (2 2 0); d = 1.753 Å, 2θ 52.18, rel. 21, (2 2 4); d = 1.690 Å, 2θ 54.27, rel. 8, (4 0 0); d = 1.532 Å, 2θ 60.42, rel. 15, (2 0 6); d = 1.451 Å, 2θ 64.20, rel. 17, (4 2 2); d = 1.135 Å, 2θ 85.57, rel. 11, (2 2 8)